Entry 1:
For CsNaNbSe4, a crystal structure in Alexandria, relaxed with PBE gives the simulated PXRD pattern in this record (Cu Ka).
Neutral-atom scattering factors, no anomalous dispersion.

Most intense lines, 2θ from 5° to 70°, in order of rising 2θ:
d 6.850, 12.92 deg, rel. 37; d 4.658, 19.05 deg, rel. 38; d 4.035, 22.03 deg, rel. 100; d 3.425, 26.02 deg, rel. 79; d 3.177, 28.09 deg, rel. 91; d 3.015, 29.63 deg, rel. 46; d 2.910, 30.72 deg, rel. 68; d 2.391, 37.63 deg, rel. 43

Cell and atoms:
Cell lengths 7.558, 6.353, 10.408 Å; angles 90.00, 106.16, 90.00 degrees
Sites, in units of the cell vectors:
Cs1 0.237 0.250 0.454
Cs2 0.763 0.750 0.546
Na1 0.257 0.250 0.946
Na2 0.743 0.750 0.054
Nb1 0.255 0.750 0.161
Nb2 0.745 0.250 0.839
Se1 0.057 0.750 0.308
Se2 0.095 0.750 0.929
Se3 0.496 0.022 0.220
Se4 0.496 0.478 0.220
Se5 0.504 0.522 0.780
Se6 0.504 0.978 0.780
Se7 0.905 0.250 0.071
Se8 0.943 0.250 0.692

=====

Entry 2:
For CsNa2NpO5, a crystal structure in Alexandria, relaxed with PBE gives the simulated PXRD pattern in this record (Cu Ka).
Neutral-atom scattering factors, no anomalous dispersion.

Most intense lines, 2θ from 5° to 70°, in order of rising 2θ:
d 5.497, 16.12 deg, rel. 25; d 5.388, 16.45 deg, rel. 71; d 3.648, 24.40 deg, rel. 51; d 3.196, 27.92 deg, rel. 25; d 3.021, 29.57 deg, rel. 100; d 2.749, 32.58 deg, rel. 29; d 2.060, 43.96 deg, rel. 29; d 1.810, 50.43 deg, rel. 25

Cell and atoms:
Cell lengths 6.646, 6.646, 6.646 Å; angles 140.94, 122.53, 71.69 degrees
Sites, in units of the cell vectors:
Cs1 0.000 0.000 0.000
Na1 0.273 0.773 0.500
Na2 0.727 0.227 0.500
Np1 0.500 0.500 0.000
O1 0.157 0.369 0.787
O2 0.418 0.631 0.787
O3 0.500 0.000 0.500
O4 0.582 0.369 0.213
O5 0.843 0.631 0.213

=====

Entry 3:
For Cs6Na2O, a crystal structure in Alexandria, relaxed with PBE gives the simulated PXRD pattern in this record (Cu Ka).
Neutral-atom scattering factors, no anomalous dispersion.

Most intense lines, 2θ from 5° to 70°, in order of rising 2θ:
d 7.735, 11.44 deg, rel. 23; d 6.641, 13.33 deg, rel. 18; d 3.867, 23.00 deg, rel. 100; d 3.410, 26.14 deg, rel. 18; d 3.320, 26.85 deg, rel. 36; d 2.558, 35.07 deg, rel. 12; d 2.379, 37.82 deg, rel. 23; d 2.007, 45.18 deg, rel. 23

Cell and atoms:
Cell lengths 9.515, 9.515, 9.393 Å; angles 119.54, 119.54, 59.13 degrees
Sites, in units of the cell vectors:
Cs1 0.217 0.217 0.217
Cs2 0.222 0.778 0.222
Cs3 0.222 0.778 0.778
Cs4 0.778 0.222 0.222
Cs5 0.778 0.222 0.778
Cs6 0.783 0.783 0.783
Na1 0.250 0.250 0.750
Na2 0.750 0.750 0.250
O1 0.000 0.000 0.000

=====

Entry 4:
For CsNaO2, a crystal structure in Alexandria, relaxed with PBE gives the simulated PXRD pattern in this record (Cu Ka).
Neutral-atom scattering factors, no anomalous dispersion.

Most intense lines, 2θ from 5° to 70°, in order of rising 2θ:
d 4.520, 19.64 deg, rel. 100; d 4.030, 22.06 deg, rel. 54; d 3.258, 27.38 deg, rel. 41; d 3.215, 27.74 deg, rel. 97; d 3.137, 28.45 deg, rel. 60; d 3.020, 29.58 deg, rel. 38; d 2.836, 31.55 deg, rel. 85; d 2.260, 39.89 deg, rel. 42

Cell and atoms:
Cell lengths 4.557, 4.557, 8.185 Å; angles 97.01, 97.01, 91.28 degrees
Sites, in units of the cell vectors:
Cs1 0.044 0.956 0.500
Cs2 0.956 0.044 0.000
Na1 0.469 0.572 0.214
Na2 0.572 0.469 0.714
O1 0.092 0.500 0.783
O2 0.320 0.542 0.938
O3 0.500 0.092 0.283
O4 0.542 0.320 0.438

=====

Entry 5:
For Cs6NaO, a crystal structure in Alexandria, relaxed with PBE gives the simulated PXRD pattern in this record (Cu Ka).
Neutral-atom scattering factors, no anomalous dispersion.

Most intense lines, 2θ from 5° to 70°, in order of rising 2θ:
d 15.209, 5.81 deg, rel. 83; d 8.317, 10.64 deg, rel. 46; d 4.403, 20.17 deg, rel. 47; d 4.159, 21.37 deg, rel. 100; d 3.936, 22.59 deg, rel. 79; d 3.802, 23.40 deg, rel. 40; d 3.085, 28.94 deg, rel. 43; d 2.911, 30.72 deg, rel. 47

Cell and atoms:
Cell lengths 4.600, 15.812, 15.812 Å; angles 31.74, 90.00, 90.00 degrees
Sites, in units of the cell vectors:
Cs1 0.000 0.000 0.000
Cs2 0.000 0.054 0.467
Cs3 0.000 0.420 0.420
Cs4 0.000 0.467 0.054
Cs5 0.500 0.373 0.929
Cs6 0.500 0.929 0.373
Na1 0.500 0.872 0.872
O1 0.500 0.217 0.217

=====

Entry 6:
For CsNa2OsO4, a crystal structure in Alexandria, relaxed with PBE gives the simulated PXRD pattern in this record (Cu Ka).
Neutral-atom scattering factors, no anomalous dispersion.

Most intense lines, 2θ from 5° to 70°, in order of rising 2θ:
d 5.199, 17.05 deg, rel. 55; d 3.547, 25.10 deg, rel. 51; d 3.138, 28.44 deg, rel. 21; d 2.930, 30.51 deg, rel. 100; d 2.687, 33.35 deg, rel. 22; d 2.097, 43.14 deg, rel. 20; d 2.002, 45.30 deg, rel. 21; d 1.769, 51.67 deg, rel. 23

Cell and atoms:
Cell lengths 6.442, 6.442, 6.442 Å; angles 141.01, 121.69, 72.39 degrees
Sites, in units of the cell vectors:
Cs1 0.000 0.000 0.000
Na1 0.275 0.775 0.500
Na2 0.725 0.225 0.500
Os1 0.500 0.500 0.000
O1 0.165 0.373 0.792
O2 0.420 0.627 0.792
O3 0.580 0.373 0.208
O4 0.835 0.627 0.208

=====

Entry 7:
For Cs2Na2PaO4, a crystal structure in Alexandria, relaxed with PBE gives the simulated PXRD pattern in this record (Cu Ka).
Neutral-atom scattering factors, no anomalous dispersion.

Most intense lines, 2θ from 5° to 70°, in order of rising 2θ:
d 9.628, 9.19 deg, rel. 100; d 4.031, 22.05 deg, rel. 34; d 3.956, 22.47 deg, rel. 23; d 3.611, 24.66 deg, rel. 38; d 3.575, 24.91 deg, rel. 25; d 2.924, 30.57 deg, rel. 24; d 2.903, 30.80 deg, rel. 29; d 2.481, 36.21 deg, rel. 25

Cell and atoms:
Cell lengths 9.804, 9.804, 7.152 Å; angles 91.14, 91.14, 21.61 degrees
Sites, in units of the cell vectors:
Cs1 0.113 0.113 0.455
Cs2 0.887 0.887 0.545
Na1 0.353 0.353 0.052
Na2 0.647 0.647 0.948
Pa1 0.000 0.000 0.000
O1 0.088 0.088 0.839
O2 0.453 0.453 0.845
O3 0.547 0.547 0.155
O4 0.912 0.912 0.161

=====

Entry 8:
For CsNa3PbO4, a crystal structure in Alexandria, relaxed with PBE gives the simulated PXRD pattern in this record (Cu Ka).
Neutral-atom scattering factors, no anomalous dispersion.

Most intense lines, 2θ from 5° to 70°, in order of rising 2θ:
d 5.684, 15.59 deg, rel. 28; d 4.963, 17.87 deg, rel. 24; d 4.878, 18.19 deg, rel. 29; d 2.965, 30.14 deg, rel. 36; d 2.950, 30.30 deg, rel. 33; d 2.853, 31.36 deg, rel. 100; d 2.843, 31.47 deg, rel. 31; d 1.948, 46.63 deg, rel. 21

Cell and atoms:
Cell lengths 6.869, 8.841, 11.773 Å; angles 82.87, 76.52, 79.54 degrees
Sites, in units of the cell vectors:
Cs1 0.007 0.382 0.379
Cs2 0.037 0.138 0.125
Cs3 0.963 0.862 0.875
Cs4 0.993 0.618 0.621
Na1 0.184 0.948 0.394
Na2 0.186 0.447 0.897
Na3 0.193 0.180 0.646
Na4 0.430 0.045 0.876
Na5 0.458 0.569 0.375
Na6 0.474 0.322 0.115
Na7 0.526 0.678 0.885
Na8 0.542 0.431 0.625
Na9 0.570 0.955 0.124
Na10 0.807 0.820 0.354
Na11 0.814 0.553 0.103
Na12 0.816 0.052 0.606
Pb1 0.174 0.706 0.148
Pb2 0.441 0.797 0.632
Pb3 0.559 0.203 0.368
Pb4 0.826 0.294 0.852
O1 0.135 0.202 0.852
O2 0.169 0.711 0.327
O3 0.179 0.938 0.593
O4 0.185 0.488 0.090
O5 0.342 0.613 0.755
O6 0.369 0.842 0.032
O7 0.380 0.333 0.505
O8 0.390 0.111 0.273
O9 0.610 0.889 0.727
O10 0.620 0.667 0.495
O11 0.631 0.158 0.968
O12 0.658 0.387 0.245
O13 0.815 0.512 0.910
O14 0.821 0.062 0.407
O15 0.831 0.289 0.673
O16 0.865 0.798 0.148

=====

Entry 9:
For CsNaSiO3, a crystal structure in Alexandria, relaxed with PBE gives the simulated PXRD pattern in this record (Cu Ka).
Neutral-atom scattering factors, no anomalous dispersion.

Most intense lines, 2θ from 5° to 70°, in order of rising 2θ:
d 3.822, 23.28 deg, rel. 91; d 3.060, 29.18 deg, rel. 100; d 2.865, 31.22 deg, rel. 88; d 2.446, 36.74 deg, rel. 21; d 2.091, 43.26 deg, rel. 26; d 1.911, 47.59 deg, rel. 31; d 1.767, 51.74 deg, rel. 22; d 1.604, 57.47 deg, rel. 20

Cell and atoms:
Cell lengths 8.595, 8.595, 8.595 Å; angles 90.80, 90.80, 90.80 degrees
Sites, in units of the cell vectors:
Cs1 0.000 0.000 0.000
Cs2 0.168 0.658 0.658
Cs3 0.317 0.317 0.317
Cs4 0.658 0.168 0.658
Cs5 0.658 0.658 0.168
Cs6 0.670 0.670 0.670
Na1 0.028 0.291 0.660
Na2 0.028 0.660 0.291
Na3 0.291 0.028 0.660
Na4 0.291 0.660 0.028
Na5 0.660 0.028 0.291
Na6 0.660 0.291 0.028
Si1 0.332 0.332 0.868
Si2 0.332 0.868 0.332
Si3 0.452 0.987 0.987
Si4 0.868 0.332 0.332
Si5 0.987 0.452 0.987
Si6 0.987 0.987 0.452
O1 0.011 0.011 0.638
O2 0.011 0.638 0.011
O3 0.160 0.374 0.946
O4 0.160 0.946 0.374
O5 0.307 0.307 0.682
O6 0.307 0.682 0.307
O7 0.374 0.160 0.946
O8 0.374 0.946 0.160
O9 0.388 0.860 0.860
O10 0.459 0.459 0.930
O11 0.459 0.930 0.459
O12 0.638 0.011 0.011
O13 0.682 0.307 0.307
O14 0.860 0.388 0.860
O15 0.860 0.860 0.388
O16 0.930 0.459 0.459
O17 0.946 0.160 0.374
O18 0.946 0.374 0.160

=====

Entry 10:
For CsNa3TiO4, a crystal structure in Alexandria, relaxed with PBE gives the simulated PXRD pattern in this record (Cu Ka).
Neutral-atom scattering factors, no anomalous dispersion.

Most intense lines, 2θ from 5° to 70°, in order of rising 2θ:
d 6.446, 13.74 deg, rel. 63; d 6.342, 13.97 deg, rel. 54; d 3.494, 25.49 deg, rel. 42; d 2.888, 30.97 deg, rel. 48; d 2.859, 31.28 deg, rel. 73; d 2.777, 32.24 deg, rel. 100; d 2.763, 32.40 deg, rel. 69; d 2.753, 32.52 deg, rel. 71

Cell and atoms:
Cell lengths 6.610, 8.638, 11.426 Å; angles 82.63, 76.15, 79.72 degrees
Sites, in units of the cell vectors:
Cs1 0.033 0.381 0.373
Cs2 0.042 0.135 0.126
Cs3 0.958 0.865 0.874
Cs4 0.967 0.619 0.627
Na1 0.182 0.446 0.897
Na2 0.203 0.166 0.645
Na3 0.204 0.942 0.396
Na4 0.429 0.044 0.875
Na5 0.461 0.570 0.374
Na6 0.495 0.335 0.107
Na7 0.505 0.665 0.893
Na8 0.539 0.430 0.626
Na9 0.571 0.956 0.125
Na10 0.796 0.058 0.604
Na11 0.797 0.834 0.355
Na12 0.818 0.554 0.103
Ti1 0.165 0.715 0.145
Ti2 0.420 0.787 0.638
Ti3 0.580 0.213 0.362
Ti4 0.835 0.285 0.855
O1 0.113 0.202 0.855
O2 0.182 0.714 0.304
O3 0.183 0.916 0.603
O4 0.202 0.518 0.088
O5 0.331 0.623 0.747
O6 0.347 0.838 0.042
O7 0.413 0.310 0.495
O8 0.429 0.114 0.285
O9 0.571 0.886 0.715
O10 0.587 0.690 0.505
O11 0.653 0.162 0.958
O12 0.669 0.377 0.253
O13 0.798 0.482 0.912
O14 0.817 0.084 0.397
O15 0.818 0.286 0.696
O16 0.887 0.798 0.145

=====

Entry 11:
For Cs4NaU3O12, a crystal structure in Alexandria, relaxed with PBE gives the simulated PXRD pattern in this record (Cu Ka).
Neutral-atom scattering factors, no anomalous dispersion.

Most intense lines, 2θ from 5° to 70°, in order of rising 2θ:
d 6.352, 13.94 deg, rel. 18; d 4.491, 19.77 deg, rel. 5; d 3.667, 24.27 deg, rel. 10; d 3.176, 28.10 deg, rel. 100; d 2.246, 40.15 deg, rel. 28; d 1.834, 49.73 deg, rel. 42; d 1.588, 58.09 deg, rel. 18; d 1.420, 65.75 deg, rel. 20

Cell and atoms:
Cell lengths 7.779, 7.779, 7.779 Å; angles 109.47, 109.47, 109.47 degrees
Sites, in units of the cell vectors:
Cs1 0.000 0.000 0.500
Cs2 0.000 0.500 0.000
Cs3 0.500 0.000 0.000
Cs4 0.500 0.500 0.500
Na1 0.000 0.000 0.000
U1 0.000 0.500 0.500
U2 0.500 0.000 0.500
U3 0.500 0.500 0.000
O1 0.000 0.288 0.288
O2 0.000 0.712 0.712
O3 0.250 0.500 0.750
O4 0.250 0.750 0.500
O5 0.288 0.000 0.288
O6 0.288 0.288 0.000
O7 0.500 0.250 0.750
O8 0.500 0.750 0.250
O9 0.712 0.000 0.712
O10 0.712 0.712 0.000
O11 0.750 0.250 0.500
O12 0.750 0.500 0.250